This entry pairs a crystal structure of RbBa3Ga5Se10Cl2 with its computed XRD peak list. Radiation: Cu Kα X-rays. Structure: a DFT-relaxed cell (GGA-PBE, Alexandria).
No peak broadening, texture or thermal motion is included.

Cell and atoms:
```
RbBa3Ga5Se10Cl2
1.0
8.809 0.000 0.000
-0.017 8.928 0.000
-4.245 -4.461 7.898
Rb Ba Ga Se Cl
1 3 5 10 2
Direct
0.000 0.000 0.000 Rb
0.147 0.877 0.541 Ba
0.258 0.522 0.998 Ba
0.625 0.159 0.540 Ba
0.032 0.386 0.433 Ga
0.514 0.649 0.769 Ga
0.579 0.126 0.105 Ga
0.656 0.584 0.441 Ga
0.760 0.497 0.087 Ga
0.050 0.469 0.236 Se
0.311 0.371 0.622 Se
0.380 0.843 0.924 Se
0.445 0.310 0.267 Se
0.547 0.225 0.906 Se
0.551 0.787 0.620 Se
0.675 0.717 0.279 Se
0.789 0.579 0.897 Se
0.850 0.103 0.296 Se
0.952 0.606 0.627 Se
0.006 0.156 0.756 Cl
0.266 0.889 0.286 Cl
```

Top 8 peaks for 2θ from 10° to 90°, by angle:
d (Å), intensity
7.767, 19.4
3.188, 100.0
3.161, 61.0
3.135, 52.2
2.788, 16.1
1.989, 15.2
1.976, 16.3
1.930, 15.8